Starting from DFT lattice parameters and positions (GGA+U), the X-ray powder pattern of Li3CoOF3 was simulated for Cu Kα (λ = 1.5418 Å).

Structural model:
```
data_Li3CoOF3
_cell_length_a 2.9183
_cell_length_b 2.9183
_cell_length_c 8.4967
_cell_angle_alpha 90.00
_cell_angle_beta 90.00
_cell_angle_gamma 90.00
_symmetry_space_group_name_H-M 'P 4/m m m'
_symmetry_Int_Tables_number 123
_symmetry_space_group_name_Hall '-P 4 2'
loop_
_atom_site_label
_atom_site_type_symbol
_atom_site_fract_x
_atom_site_fract_y
_atom_site_fract_z
Li1 Li 0.0000 0.0000 0.0000
Li2 Li 0.5000 0.5000 0.2437
Co1 Co 0.0000 0.0000 0.5000
O1 O 0.5000 0.5000 0.5000
F1 F 0.0000 0.0000 0.2369
F2 F 0.5000 0.5000 0.0000
```

Top 6 peaks for 2θ from 10° to 80°, in order of falling intensity:
Position (°2θ), d (Å), I_rel, hkl
10.41, 8.497, 100.0, 0 0 1
43.87, 2.064, 50.7, 1 1 0
32.44, 2.760, 35.4, 1 0 1
62.78, 1.480, 28.2, 1 1 4
42.56, 2.124, 27.2, 0 0 4
20.91, 4.248, 25.0, 0 0 2